Ce2NdSmHg4: simulated PXRD pattern (copper Kα), based on DFT lattice parameters and positions (GGA-PBE).
Intensities are scaled so that the largest is 100.

Top 10 peaks for 2θ from 10° to 90°, low angle first:
two_theta	intensity	h k l
23.3	3	1 0 4
33.1	100	1 1 0
40.9	1	0 2 4
47.5	18	2 0 8
53.6	2	2 1 4
59.2	38	3 0 0
69.5	12	2 2 0
79.2	17	3 1 8
88.4	1	0 0 24
88.6	3	0 4 8

Cell and atoms:
```
data_Ce2NdSmHg4
_cell_length_a 5.4074
_cell_length_b 5.4074
_cell_length_c 26.5328
_cell_angle_alpha 90.00
_cell_angle_beta 90.00
_cell_angle_gamma 120.00
_symmetry_space_group_name_H-M 'R -3 m'
_symmetry_Int_Tables_number 166
_symmetry_space_group_name_Hall '-R 3 2"'
loop_
_atom_site_label
_atom_site_type_symbol
_atom_site_fract_x
_atom_site_fract_y
_atom_site_fract_z
Ce1 Ce 0.0000 0.0000 0.2502
Nd1 Nd 0.0000 0.0000 0.0000
Sm1 Sm 0.0000 0.0000 0.5000
Hg1 Hg 0.0000 0.0000 0.1258
Hg2 Hg 0.0000 0.0000 0.3759
```